Entry 1:
# TiS2
Theoretical X-ray powder pattern, λ = 1.5418 Å (Cu Kα). Input: a crystal structure in the Materials Project, relaxed with PBE.

Crystal structure
```
data_TiS2
_chemical_formula_sum 'Ti3 S6'
_cell_length_a 3.4096
_cell_length_b 3.4096
_cell_length_c 25.8319
_cell_angle_alpha 90.00
_cell_angle_beta 90.00
_cell_angle_gamma 120.00
_symmetry_space_group_name_H-M 'R -3 m'
_symmetry_Int_Tables_number 166
_symmetry_space_group_name_Hall '-R 3 2"'
loop_
_atom_site_label
_atom_site_fract_x
_atom_site_fract_y
_atom_site_fract_z
Ti1 0.0000 0.0000 0.0000
S1 0.0000 0.0000 0.3885
```

The 6 most intense peaks (15° ≤ 2θ ≤ 90°), in order of rising 2θ:
| d/Å | intensity | index |
| --- | --- | --- |
| 2.878 | 42 | 0 1 2 |
| 2.564 | 100 | 0 1 5 |
| 2.179 | 49 | 0 1 8 |
| 1.944 | 32 | 1 0 10 |
| 1.705 | 28 | 1 1 0 |
| 1.672 | 26 | 1 1 3 |

Entry 2:
# Li2TiTe3O12
Theoretical X-ray powder pattern, λ = 1.5418 Å (Cu Kα). Input: a crystal structure in the Materials Project, relaxed with PBE.

Crystal structure
```
data_Li2TiTe3O12
_chemical_formula_sum 'Li4 Ti2 Te6 O24'
_cell_length_a 7.080
_cell_length_b 8.521
_cell_length_c 7.296
_cell_angle_alpha 90.00
_cell_angle_beta 92.65
_cell_angle_gamma 90.00
_symmetry_space_group_name_H-M 'P 1 2 1'
_symmetry_Int_Tables_number 3
loop_
_symmetry_equiv_pos_as_xyz
'x,y,z'
'-x,y,-z'
loop_
_atom_site_label
_atom_site_fract_x
_atom_site_fract_y
_atom_site_fract_z
Li1 0.000 0.000 0.000
Li2 0.000 0.448 0.500
Li3 0.266 0.326 0.757
Ti1 0.260 0.249 0.253
Te1 0.000 0.066 0.500
Te2 0.000 0.559 0.000
Te3 0.249 0.753 0.750
Te4 0.500 0.068 0.000
Te5 0.500 0.562 0.500
O1 0.016 0.735 0.190
O2 0.053 0.408 0.191
O3 0.056 0.082 0.247
O4 0.190 0.235 0.515
O5 0.196 0.904 0.555
O6 0.229 0.581 0.557
O7 0.267 0.580 0.938
O8 0.294 0.221 0.987
O9 0.298 0.906 0.945
O10 0.451 0.406 0.317
O11 0.453 0.085 0.254
O12 0.487 0.730 0.308
```

The 6 most intense peaks (15° ≤ 2θ ≤ 90°), in order of rising 2θ:
| d/Å | intensity | index |
| --- | --- | --- |
| 4.437 | 48 | 1 1 -1 |
| 4.288 | 100 | 1 1 1 |
| 2.769 | 33 | 0 2 2 |
| 2.721 | 32 | 2 2 0 |
| 2.492 | 16 | 1 3 -1 |
| 1.770 | 22 | 4 0 0 |

Entry 3:
# RbYSe2O6
Theoretical X-ray powder pattern, λ = 1.5418 Å (Cu Kα). Input: a crystal structure in the Materials Project, relaxed with PBE.

Crystal structure
```
data_RbYSe2O6
_chemical_formula_sum 'Rb4 Y4 Se8 O24'
_cell_length_a 14.028
_cell_length_b 5.862
_cell_length_c 8.950
_cell_angle_alpha 90.00
_cell_angle_beta 90.00
_cell_angle_gamma 90.00
_symmetry_space_group_name_H-M 'P n m a'
_symmetry_Int_Tables_number 62
loop_
_symmetry_equiv_pos_as_xyz
'x,y,z'
'-x,-y,-z'
'-x+1/2,-y,z+1/2'
'x+1/2,y,-z+1/2'
'x+1/2,-y+1/2,-z+1/2'
'-x+1/2,y+1/2,z+1/2'
'-x,y+1/2,-z'
'x,-y+1/2,z'
loop_
_atom_site_label
_atom_site_fract_x
_atom_site_fract_y
_atom_site_fract_z
Rb1 0.127 0.250 0.008
Y1 0.101 0.750 0.689
Se1 0.062 0.750 0.285
Se2 0.203 0.250 0.482
O1 0.000 0.020 0.788
O2 0.026 0.750 0.468
O3 0.181 0.750 0.915
O4 0.205 0.021 0.603
```

The 6 most intense peaks (15° ≤ 2θ ≤ 90°), in order of rising 2θ:
| d/Å | intensity | index |
| --- | --- | --- |
| 3.773 | 41 | 2 0 2 |
| 3.384 | 65 | 3 1 1 |
| 3.172 | 100 | 2 1 2 |
| 3.009 | 35 | 4 1 0 |
| 2.931 | 35 | 0 2 0 |
| 1.676 | 18 | 5 2 3 |